(1)
Structure and computed powder XRD pattern of Fe4H14O13 (the GGA+U geometry in the Materials Project; CuKα).
No peak broadening, texture or thermal motion is included.

Cell and atoms:
```
data_Fe4H14O13
_chemical_formula_sum 'Fe4 H14 O13'
_symmetry_space_group_name_H-M 'P 1'
_symmetry_Int_Tables_number 1
_symmetry_space_group_name_Hall 'P 1'
_cell_length_a 6.667
_cell_length_b 6.680
_cell_length_c 6.705
_cell_angle_alpha 108.27
_cell_angle_beta 109.86
_cell_angle_gamma 109.58
loop_
_atom_site_label
_atom_site_type_symbol
_atom_site_fract_x
_atom_site_fract_y
_atom_site_fract_z
Fe1 Fe 0.000 0.000 0.000
Fe2 Fe 0.004 0.500 0.502
Fe3 Fe 0.490 0.494 0.003
Fe4 Fe 0.500 0.997 0.502
H1 H 0.040 0.736 0.181
H2 H 0.159 0.139 0.530
H3 H 0.184 0.640 0.953
H4 H 0.256 0.442 0.318
H5 H 0.318 0.948 0.764
H6 H 0.441 0.188 0.146
H7 H 0.562 0.822 0.869
H8 H 0.584 0.434 0.668
H9 H 0.631 0.681 0.449
H10 H 0.676 0.065 0.243
H11 H 0.810 0.369 0.053
H12 H 0.890 0.941 0.326
H13 H 0.946 0.840 0.600
H14 H 0.952 0.251 0.804
O1 O 0.002 0.018 0.499
O2 O 0.121 0.321 0.319
O3 O 0.170 0.861 0.176
O4 O 0.182 0.507 0.828
O5 O 0.313 0.181 0.007
O6 O 0.330 0.826 0.645
O7 O 0.489 0.304 0.692
O8 O 0.504 0.687 0.320
O9 O 0.671 0.188 0.367
O10 O 0.691 0.816 0.996
O11 O 0.814 0.502 0.177
O12 O 0.825 0.132 0.816
O13 O 0.887 0.714 0.653
```

Principal peaks in the range 2θ = 10–90°, by intensity:
2θ 23.1, I = 100, hkl 1 1 -1; 2θ 22.7, I = 53, hkl -1 1 1; 2θ 32.9, I = 29, hkl 2 0 0; 2θ 32.4, I = 28, hkl 0 0 2; 2θ 47.3, I = 23, hkl 2 2 -2; 2θ 53.4, I = 18, hkl 1 3 -3

***

(2)
Structure and computed powder XRD pattern of Li3Co2Si2O8 (the GGA+U geometry in the Materials Project; CuKα).
No peak broadening, texture or thermal motion is included.

Cell and atoms:
```
data_Li3Co2Si2O8
_chemical_formula_sum 'Li3 Co2 Si2 O8'
_symmetry_space_group_name_H-M 'P 1'
_symmetry_Int_Tables_number 1
_symmetry_space_group_name_Hall 'P 1'
_cell_length_a 5.241
_cell_length_b 5.243
_cell_length_c 6.485
_cell_angle_alpha 90.64
_cell_angle_beta 90.66
_cell_angle_gamma 91.44
loop_
_atom_site_label
_atom_site_type_symbol
_atom_site_fract_x
_atom_site_fract_y
_atom_site_fract_z
Li1 Li 0.000 0.000 0.000
Li2 Li 0.154 0.483 0.240
Li3 Li 0.650 0.353 0.002
Co1 Co 0.031 0.981 0.512
Co2 Co 0.641 0.364 0.511
Si1 Si 0.160 0.493 0.763
Si2 Si 0.524 0.858 0.251
O1 O 0.031 0.356 0.544
O2 O 0.032 0.379 0.969
O3 O 0.091 0.801 0.744
O4 O 0.205 0.903 0.273
O5 O 0.465 0.451 0.754
O6 O 0.540 0.543 0.262
O7 O 0.640 0.988 0.053
O8 O 0.666 0.988 0.462
```

Principal peaks in the range 2θ = 10–90°, by intensity:
2θ 13.7, I = 100, hkl 0 0 1; 2θ 34.2, I = 79, hkl 2 0 0; 2θ 21.7, I = 71, hkl 0 1 -1; 2θ 28.2, I = 49, hkl 1 1 1; 2θ 27.5, I = 31, hkl -1 1 1; 2θ 32.7, I = 29, hkl 0 1 2

***

(3)
Structure and computed powder XRD pattern of LiAlVO4 (the GGA+U geometry in the Materials Project; CuKα).
No peak broadening, texture or thermal motion is included.

Cell and atoms:
```
data_LiAlVO4
_chemical_formula_sum 'Li8 Al8 V8 O32'
_symmetry_space_group_name_H-M 'C 2 2 21'
_symmetry_Int_Tables_number 20
_symmetry_space_group_name_Hall 'C 2c 2'
_cell_length_a 8.215
_cell_length_b 8.225
_cell_length_c 8.157
_cell_angle_alpha 90.00
_cell_angle_beta 90.00
_cell_angle_gamma 90.00
loop_
_atom_site_label
_atom_site_type_symbol
_atom_site_fract_x
_atom_site_fract_y
_atom_site_fract_z
Li1 Li 0.113 0.113 0.375
Al1 Al 0.000 0.258 0.750
Al2 Al 0.242 0.500 0.500
V1 V 0.137 0.363 0.125
O1 O 0.113 0.380 0.365
O2 O 0.120 0.387 0.885
O3 O 0.132 0.136 0.114
O4 O 0.136 0.132 0.636
```

Principal peaks in the range 2θ = 10–90°, by intensity:
2θ 36.3, I = 100, hkl 3 1 1; 2θ 24.2, I = 82, hkl 2 0 1; 2θ 64.4, I = 68, hkl 4 0 4; 2θ 15.2, I = 62, hkl 1 1 0; 2θ 36.5, I = 55, hkl 1 1 3; 2θ 26.7, I = 53, hkl 1 1 2

***

(4)
Structure and computed powder XRD pattern of Ba2EuMoO6 (the GGA+U geometry in the Materials Project; CuKα).
No peak broadening, texture or thermal motion is included.

Cell and atoms:
```
data_Ba2EuMoO6
_chemical_formula_sum 'Ba8 Eu4 Mo4 O24'
_symmetry_space_group_name_H-M 'F m -3 m'
_symmetry_Int_Tables_number 225
_symmetry_space_group_name_Hall '-F 4 2 3'
_cell_length_a 8.649
_cell_length_b 8.649
_cell_length_c 8.649
_cell_angle_alpha 90.00
_cell_angle_beta 90.00
_cell_angle_gamma 90.00
loop_
_atom_site_label
_atom_site_type_symbol
_atom_site_fract_x
_atom_site_fract_y
_atom_site_fract_z
Ba1 Ba 0.250 0.250 0.250
Eu1 Eu 0.000 0.000 0.000
Mo1 Mo 0.000 0.000 0.500
O1 O 0.000 0.000 0.272
```

Principal peaks in the range 2θ = 10–90°, by intensity:
2θ 29.2, I = 100, hkl 2 2 0; 2θ 51.8, I = 40, hkl 4 2 2; 2θ 41.8, I = 30, hkl 4 0 0; 2θ 83.7, I = 22, hkl 6 4 2; 2θ 60.6, I = 18, hkl 4 4 0; 2θ 68.6, I = 18, hkl 6 2 0

***

(5)
Structure and computed powder XRD pattern of Li2WO4 (the GGA+U geometry in the Materials Project; CuKα).
No peak broadening, texture or thermal motion is included.

Cell and atoms:
```
data_Li2WO4
_chemical_formula_sum 'Li8 W4 O16'
_symmetry_space_group_name_H-M 'C 1 2/c 1'
_symmetry_Int_Tables_number 15
_symmetry_space_group_name_Hall '-C 2yc'
_cell_length_a 10.007
_cell_length_b 5.975
_cell_length_c 5.170
_cell_angle_alpha 90.00
_cell_angle_beta 91.55
_cell_angle_gamma 90.00
loop_
_atom_site_label
_atom_site_type_symbol
_atom_site_fract_x
_atom_site_fract_y
_atom_site_fract_z
Li1 Li 0.193 0.150 0.271
W1 W 0.000 0.337 0.750
O1 O 0.103 0.396 0.072
O2 O 0.130 0.147 0.636
```

Principal peaks in the range 2θ = 10–90°, by intensity:
2θ 17.7, I = 100, hkl 2 0 0; 2θ 24.6, I = 74, hkl 1 1 1; 2θ 24.3, I = 71, hkl 1 1 -1; 2θ 17.3, I = 65, hkl 1 1 0; 2θ 34.7, I = 39, hkl 0 0 2; 2θ 35.0, I = 35, hkl 3 1 -1

***

(6)
Structure and computed powder XRD pattern of LiFeBO3 (the GGA+U geometry in the Materials Project; CuKα).
No peak broadening, texture or thermal motion is included.

Cell and atoms:
```
data_LiFeBO3
_chemical_formula_sum 'Li9 Fe9 B9 O27'
_symmetry_space_group_name_H-M 'P 1'
_symmetry_Int_Tables_number 1
_symmetry_space_group_name_Hall 'P 1'
_cell_length_a 3.161
_cell_length_b 14.464
_cell_length_c 14.471
_cell_angle_alpha 60.08
_cell_angle_beta 89.21
_cell_angle_gamma 89.28
loop_
_atom_site_label
_atom_site_type_symbol
_atom_site_fract_x
_atom_site_fract_y
_atom_site_fract_z
Li1 Li 0.000 0.000 0.000
Li2 Li 0.002 0.667 0.016
Li3 Li 0.055 0.668 0.669
Li4 Li 0.944 0.337 0.679
Li5 Li 0.981 0.346 0.001
Li6 Li 0.983 0.330 0.319
Li7 Li 0.988 0.684 0.333
Li8 Li 0.995 0.986 0.368
Li9 Li 0.997 0.035 0.663
Fe1 Fe 0.435 0.537 0.559
Fe2 Fe 0.469 0.248 0.546
Fe3 Fe 0.480 0.558 0.230
Fe4 Fe 0.481 0.213 0.223
Fe5 Fe 0.502 0.226 0.922
Fe6 Fe 0.504 0.897 0.229
Fe7 Fe 0.505 0.896 0.890
Fe8 Fe 0.517 0.889 0.581
Fe9 Fe 0.558 0.588 0.869
B1 B 0.025 0.797 0.784
B2 B 0.481 0.130 0.780
B3 B 0.490 0.446 0.107
B4 B 0.492 0.117 0.450
B5 B 0.495 0.451 0.783
B6 B 0.501 0.783 0.116
B7 B 0.510 0.775 0.463
B8 B 0.961 0.451 0.435
B9 B 0.998 0.102 0.131
O1 O 0.005 0.001 0.141
O2 O 0.008 0.887 0.682
O3 O 0.009 0.808 0.875
O4 O 0.058 0.697 0.795
O5 O 0.413 0.688 0.450
O6 O 0.416 0.419 0.709
O7 O 0.439 0.434 0.209
O8 O 0.440 0.041 0.767
O9 O 0.454 0.232 0.691
O10 O 0.464 0.357 0.095
O11 O 0.478 0.024 0.444
O12 O 0.480 0.763 0.221
O13 O 0.495 0.216 0.358
O14 O 0.502 0.376 0.890
O15 O 0.504 0.110 0.549
O16 O 0.504 0.699 0.096
O17 O 0.519 0.888 0.032
O18 O 0.549 0.762 0.564
O19 O 0.551 0.116 0.881
O20 O 0.564 0.875 0.374
O21 O 0.567 0.557 0.749
O22 O 0.571 0.547 0.020
O23 O 0.941 0.462 0.525
O24 O 0.968 0.349 0.448
O25 O 0.975 0.542 0.334
O26 O 0.990 0.114 0.220
O27 O 0.998 0.191 0.031
```

Principal peaks in the range 2θ = 10–90°, by intensity:
2θ 21.3, I = 100, hkl 0 3 3; 2θ 28.2, I = 44, hkl 1 0 0; 2θ 37.3, I = 34, hkl 0 6 3; 2θ 43.3, I = 25, hkl 0 6 0; 2θ 35.7, I = 24, hkl 1 0 -3; 2θ 35.4, I = 23, hkl 1 3 3

***

(7)
Structure and computed powder XRD pattern of V3O5F (the GGA+U geometry in the Materials Project; CuKα).
No peak broadening, texture or thermal motion is included.

Cell and atoms:
```
data_V3O5F
_chemical_formula_sum 'V12 O20 F4'
_symmetry_space_group_name_H-M 'C 1 m 1'
_symmetry_Int_Tables_number 8
_symmetry_space_group_name_Hall 'C -2y'
_cell_length_a 8.942
_cell_length_b 6.478
_cell_length_c 7.330
_cell_angle_alpha 90.00
_cell_angle_beta 114.82
_cell_angle_gamma 90.00
loop_
_atom_site_label
_atom_site_type_symbol
_atom_site_fract_x
_atom_site_fract_y
_atom_site_fract_z
V1 V 0.000 0.000 0.000
V2 V 0.012 0.000 0.528
V3 V 0.174 0.500 0.172
V4 V 0.193 0.500 0.684
V5 V 0.338 0.000 0.859
V6 V 0.356 0.000 0.331
O1 O 0.017 0.299 0.019
O2 O 0.079 0.500 0.381
O3 O 0.173 0.201 0.672
O4 O 0.240 0.000 0.051
O5 O 0.274 0.500 0.978
O6 O 0.347 0.296 0.347
O7 O 0.415 0.500 0.709
F1 F 0.113 0.000 0.313
F2 F 0.448 0.000 0.646
```

Principal peaks in the range 2θ = 10–90°, by intensity:
2θ 26.6, I = 100, hkl 2 0 -2; 2θ 27.5, I = 99, hkl 0 2 0; 2θ 36.0, I = 97, hkl 3 1 0; 2θ 53.3, I = 59, hkl 1 1 -4; 2θ 54.4, I = 54, hkl 3 3 0; 2θ 68.2, I = 40, hkl 1 3 -4

***

Repeat the fourth record exactly.
Structure and computed powder XRD pattern of Ba2EuMoO6 (the GGA+U geometry in the Materials Project; CuKα).
No peak broadening, texture or thermal motion is included.

Cell and atoms:
```
data_Ba2EuMoO6
_chemical_formula_sum 'Ba8 Eu4 Mo4 O24'
_symmetry_space_group_name_H-M 'F m -3 m'
_symmetry_Int_Tables_number 225
_symmetry_space_group_name_Hall '-F 4 2 3'
_cell_length_a 8.649
_cell_length_b 8.649
_cell_length_c 8.649
_cell_angle_alpha 90.00
_cell_angle_beta 90.00
_cell_angle_gamma 90.00
loop_
_atom_site_label
_atom_site_type_symbol
_atom_site_fract_x
_atom_site_fract_y
_atom_site_fract_z
Ba1 Ba 0.250 0.250 0.250
Eu1 Eu 0.000 0.000 0.000
Mo1 Mo 0.000 0.000 0.500
O1 O 0.000 0.000 0.272
```

Principal peaks in the range 2θ = 10–90°, by intensity:
2θ 29.2, I = 100, hkl 2 2 0; 2θ 51.8, I = 40, hkl 4 2 2; 2θ 41.8, I = 30, hkl 4 0 0; 2θ 83.7, I = 22, hkl 6 4 2; 2θ 60.6, I = 18, hkl 4 4 0; 2θ 68.6, I = 18, hkl 6 2 0